CeP2IrRu2: computed X-ray diffraction stick pattern (λ = 1.5418 Å (Cu Kα)), based on a structure optimized by DFT (PBE).
Peak positions follow from Bragg's law for the DFT cell and can differ from measured ones.

Structure:
Cell lengths 4.5557, 4.5557, 5.2743 Å; angles 90.00, 90.00, 90.00 degrees
Atoms (fractional coordinates):
Ce (0.0000, 0.0000, 0.0000)
P (0.0000, 0.5000, 0.5000)
P (0.5000, 0.0000, 0.5000)
Ir (0.0000, 0.0000, 0.5000)
Ru (0.5000, 0.5000, 0.2427)
Ru (0.5000, 0.5000, 0.7573)

The 12 most intense peaks (15° ≤ 2θ ≤ 90°), in order of falling intensity:
two_theta, d (Å), I (rel.)
39.51, 2.281, 100
27.69, 3.221, 62
57.14, 1.612, 55
85.16, 1.139, 18
64.70, 1.441, 11
71.72, 1.316, 11
19.48, 4.556, 9
84.99, 1.141, 8
78.36, 1.220, 6
16.81, 5.274, 5
71.56, 1.319, 3
53.13, 1.724, 3



KCd2Hg4: computed X-ray diffraction stick pattern (λ = 1.5418 Å (Cu Kα)), based on a structure optimized by DFT (PBE).
Peak positions follow from Bragg's law for the DFT cell and can differ from measured ones.

Structure:
Cell lengths 10.5196, 10.5196, 10.5196 Å; angles 158.27, 152.17, 35.58 degrees
Atoms (fractional coordinates):
K (0.0000, 0.0000, 0.0000)
Cd (0.3081, 0.8081, 0.5000)
Cd (0.6919, 0.1919, 0.5000)
Hg (0.1637, 0.6637, 0.5000)
Hg (0.4244, 0.4244, 0.0000)
Hg (0.5756, 0.5756, 0.0000)
Hg (0.8363, 0.3363, 0.5000)

The 12 most intense peaks (15° ≤ 2θ ≤ 90°), in order of falling intensity:
two_theta, d (Å), I (rel.)
29.99, 2.980, 100
39.52, 2.280, 92
36.05, 2.491, 50
35.48, 2.530, 46
22.86, 3.890, 46
59.60, 1.551, 24
45.77, 1.983, 23
59.21, 1.561, 21
66.42, 1.408, 20
42.63, 2.121, 19
17.71, 5.008, 17
35.86, 2.504, 16



NaMnZn17: computed X-ray diffraction stick pattern (λ = 1.5418 Å (Cu Kα)), based on a structure optimized by DFT (PBE).
Peak positions follow from Bragg's law for the DFT cell and can differ from measured ones.

Structure:
Cell lengths 6.7651, 6.7651, 6.7651 Å; angles 82.44, 82.44, 82.44 degrees
Atoms (fractional coordinates):
Na (0.0000, 0.0000, 0.0000)
Mn (0.3417, 0.3417, 0.3417)
Zn (0.0318, 0.0318, 0.4711)
Zn (0.0318, 0.4711, 0.0318)
Zn (0.1462, 0.6775, 0.6775)
Zn (0.3167, 0.3167, 0.7914)
Zn (0.3167, 0.7914, 0.3167)
Zn (0.3615, 0.6581, 0.9676)
Zn (0.3615, 0.9676, 0.6581)
Zn (0.4711, 0.0318, 0.0318)
Zn (0.5562, 0.5562, 0.5562)
Zn (0.6581, 0.3615, 0.9676)
Zn (0.6581, 0.9676, 0.3615)
Zn (0.6775, 0.1462, 0.6775)
Zn (0.6775, 0.6775, 0.1462)
Zn (0.7544, 0.7544, 0.7544)
Zn (0.7914, 0.3167, 0.3167)
Zn (0.9676, 0.3615, 0.6581)
Zn (0.9676, 0.6581, 0.3615)

The 12 most intense peaks (15° ≤ 2θ ≤ 90°), in order of falling intensity:
two_theta, d (Å), I (rel.)
40.64, 2.220, 100
45.65, 1.987, 81
40.47, 2.229, 43
34.86, 2.574, 32
41.12, 2.195, 31
46.09, 1.969, 27
41.50, 2.176, 27
19.92, 4.458, 23
35.85, 2.505, 20
74.61, 1.272, 17
73.61, 1.287, 16
70.45, 1.337, 12



NpU4Se7: computed X-ray diffraction stick pattern (λ = 1.5418 Å (Cu Kα)), based on a structure optimized by DFT (PBE).
Peak positions follow from Bragg's law for the DFT cell and can differ from measured ones.

Structure:
Cell lengths 4.0413, 4.0413, 23.5173 Å; angles 90.00, 90.00, 120.00 degrees
Atoms (fractional coordinates):
Np (0.0000, 0.0000, 0.0000)
U (0.3333, 0.6667, 0.1405)
U (0.3333, 0.6667, 0.4264)
U (0.6667, 0.3333, 0.5736)
U (0.6667, 0.3333, 0.8595)
Se (0.0000, 0.0000, 0.2078)
Se (0.0000, 0.0000, 0.5000)
Se (0.0000, 0.0000, 0.7922)
Se (0.3333, 0.6667, 0.6410)
Se (0.3333, 0.6667, 0.9314)
Se (0.6667, 0.3333, 0.0686)
Se (0.6667, 0.3333, 0.3590)

The 12 most intense peaks (15° ≤ 2θ ≤ 90°), in order of falling intensity:
two_theta, d (Å), I (rel.)
29.71, 3.007, 100
44.86, 2.021, 44
34.35, 2.611, 40
73.32, 1.291, 36
46.52, 1.952, 34
54.70, 1.678, 26
40.06, 2.251, 20
25.73, 3.462, 20
27.92, 3.196, 19
83.92, 1.153, 14
66.61, 1.404, 12
57.69, 1.598, 11



LiHgGe: computed X-ray diffraction stick pattern (λ = 1.5418 Å (Cu Kα)), based on a structure optimized by DFT (PBE).
Peak positions follow from Bragg's law for the DFT cell and can differ from measured ones.

Structure:
Cell lengths 6.0335, 3.0040, 6.3786 Å; angles 90.00, 90.06, 90.00 degrees
Atoms (fractional coordinates):
Li (0.2258, 0.0000, 0.0001)
Li (0.7742, 0.0000, 0.9999)
Hg (0.4992, 0.5000, 0.7290)
Hg (0.5008, 0.5000, 0.2710)
Ge (0.0006, 0.5000, 0.3012)
Ge (0.9994, 0.5000, 0.6988)

The 12 most intense peaks (15° ≤ 2θ ≤ 90°), in order of falling intensity:
two_theta, d (Å), I (rel.)
29.61, 3.017, 100
29.74, 3.004, 99
27.98, 3.189, 97
42.47, 2.128, 93
41.19, 2.192, 76
41.29, 2.187, 75
51.62, 1.771, 73
31.74, 2.820, 41
44.05, 2.056, 33
33.32, 2.689, 32
76.76, 1.242, 25
76.96, 1.239, 25



Tb3PuFe: computed X-ray diffraction stick pattern (λ = 1.5418 Å (Cu Kα)), based on a structure optimized by DFT (PBE).
Peak positions follow from Bragg's law for the DFT cell and can differ from measured ones.

Structure:
Cell lengths 5.2642, 5.2642, 5.2642 Å; angles 90.00, 90.00, 90.00 degrees
Atoms (fractional coordinates):
Tb (0.0000, 0.0000, 0.5000)
Tb (0.0000, 0.5000, 0.0000)
Tb (0.5000, 0.0000, 0.0000)
Pu (0.5000, 0.5000, 0.5000)
Fe (0.0000, 0.0000, 0.0000)

The 12 most intense peaks (15° ≤ 2θ ≤ 90°), in order of falling intensity:
two_theta, d (Å), I (rel.)
29.39, 3.039, 100
34.06, 2.632, 72
48.94, 1.861, 52
58.12, 1.587, 45
81.83, 1.177, 24
79.34, 1.208, 19
60.97, 1.520, 18
23.91, 3.722, 11
71.72, 1.316, 8
42.04, 2.149, 5
66.45, 1.407, 3
55.17, 1.665, 2



PaCdCoH6: computed X-ray diffraction stick pattern (λ = 1.5418 Å (Cu Kα)), based on a structure optimized by DFT (PBE).
Peak positions follow from Bragg's law for the DFT cell and can differ from measured ones.

Structure:
Cell lengths 4.4854, 4.4854, 4.3711 Å; angles 90.00, 90.00, 120.00 degrees
Atoms (fractional coordinates):
Pa (0.0000, 0.0000, 0.0000)
Cd (0.3333, 0.6667, 0.5000)
Co (0.6667, 0.3333, 0.5000)
H (0.5267, 0.0535, 0.2006)
H (0.5267, 0.0535, 0.7994)
H (0.5267, 0.4733, 0.2006)
H (0.5267, 0.4733, 0.7994)
H (0.9465, 0.4733, 0.2006)
H (0.9465, 0.4733, 0.7994)

The 12 most intense peaks (15° ≤ 2θ ≤ 90°), in order of falling intensity:
two_theta, d (Å), I (rel.)
30.79, 2.904, 100
40.21, 2.243, 39
59.01, 1.565, 25
51.49, 1.775, 24
67.27, 1.392, 22
22.89, 3.884, 20
41.31, 2.186, 12
68.82, 1.364, 10
87.58, 1.114, 9
47.75, 1.905, 7
73.08, 1.295, 7
82.82, 1.166, 6



Ca4Th3PaAs8: computed X-ray diffraction stick pattern (λ = 1.5418 Å (Cu Kα)), based on a structure optimized by DFT (PBE).
Peak positions follow from Bragg's law for the DFT cell and can differ from measured ones.

Structure:
Cell lengths 8.4527, 8.4527, 8.4527 Å; angles 60.61, 60.61, 60.61 degrees
Atoms (fractional coordinates):
Ca (0.0000, 0.0000, 0.0000)
Ca (0.0000, 0.5000, 0.5000)
Ca (0.5000, 0.0000, 0.5000)
Ca (0.5000, 0.5000, 0.0000)
Th (0.0000, 0.0000, 0.5000)
Th (0.0000, 0.5000, 0.0000)
Th (0.5000, 0.0000, 0.0000)
Pa (0.5000, 0.5000, 0.5000)
As (0.2477, 0.2477, 0.2477)
As (0.2555, 0.7411, 0.7411)
As (0.2589, 0.2589, 0.7445)
As (0.2589, 0.7445, 0.2589)
As (0.7411, 0.2555, 0.7411)
As (0.7411, 0.7411, 0.2555)
As (0.7445, 0.2589, 0.2589)
As (0.7523, 0.7523, 0.7523)

The 12 most intense peaks (15° ≤ 2θ ≤ 90°), in order of falling intensity:
two_theta, d (Å), I (rel.)
29.76, 3.002, 100
42.38, 2.133, 38
42.80, 2.113, 37
24.48, 3.636, 28
52.64, 1.739, 20
69.79, 1.348, 17
70.39, 1.338, 16
44.48, 2.037, 14
77.81, 1.227, 13
61.81, 1.501, 12
32.55, 2.751, 12
39.13, 2.302, 12



Na3Si17: computed X-ray diffraction stick pattern (λ = 1.5418 Å (Cu Kα)), based on a structure optimized by DFT (PBE).
Peak positions follow from Bragg's law for the DFT cell and can differ from measured ones.

Structure:
Cell lengths 10.4422, 10.4422, 10.4422 Å; angles 60.00, 60.00, 60.00 degrees
Atoms (fractional coordinates):
Na (0.0000, 0.0000, 0.0000)
Na (0.0000, 0.0000, 0.5000)
Na (0.0000, 0.5000, 0.0000)
Na (0.3750, 0.3750, 0.3750)
Na (0.5000, 0.0000, 0.0000)
Na (0.6250, 0.6250, 0.6250)
Si (0.0059, 0.2366, 0.6287)
Si (0.0059, 0.6287, 0.2366)
Si (0.0059, 0.6287, 0.6287)
Si (0.1250, 0.1250, 0.1250)
Si (0.1538, 0.7821, 0.7821)
Si (0.2179, 0.2179, 0.2179)
Si (0.2179, 0.2179, 0.8462)
Si (0.2179, 0.8462, 0.2179)
Si (0.2366, 0.0059, 0.6287)
Si (0.2366, 0.6287, 0.0059)
Si (0.2366, 0.6287, 0.6287)
Si (0.3713, 0.3713, 0.7634)
Si (0.3713, 0.3713, 0.9941)
Si (0.3713, 0.7634, 0.3713)
Si (0.3713, 0.7634, 0.9941)
Si (0.3713, 0.9941, 0.3713)
Si (0.3713, 0.9941, 0.7634)
Si (0.6287, 0.0059, 0.2366)
Si (0.6287, 0.0059, 0.6287)
Si (0.6287, 0.2366, 0.0059)
Si (0.6287, 0.2366, 0.6287)
Si (0.6287, 0.6287, 0.0059)
Si (0.6287, 0.6287, 0.2366)
Si (0.7634, 0.3713, 0.3713)
Si (0.7634, 0.3713, 0.9941)
Si (0.7634, 0.9941, 0.3713)
Si (0.7821, 0.1538, 0.7821)
Si (0.7821, 0.7821, 0.1538)
Si (0.7821, 0.7821, 0.7821)
Si (0.8462, 0.2179, 0.2179)
Si (0.8750, 0.8750, 0.8750)
Si (0.9941, 0.3713, 0.3713)
Si (0.9941, 0.3713, 0.7634)
Si (0.9941, 0.7634, 0.3713)

The 12 most intense peaks (15° ≤ 2θ ≤ 90°), in order of falling intensity:
two_theta, d (Å), I (rel.)
52.59, 1.740, 100
31.48, 2.842, 93
35.98, 2.496, 71
34.35, 2.611, 48
29.64, 3.014, 30
50.59, 1.804, 28
53.76, 1.705, 27
80.12, 1.198, 25
56.80, 1.621, 17
16.98, 5.221, 14
19.94, 4.453, 13
78.53, 1.218, 12



Rb3AuO3: computed X-ray diffraction stick pattern (λ = 1.5418 Å (Cu Kα)), based on a structure optimized by DFT (PBE).
Peak positions follow from Bragg's law for the DFT cell and can differ from measured ones.

Structure:
Cell lengths 7.4171, 5.8490, 7.9483 Å; angles 90.00, 98.61, 90.00 degrees
Atoms (fractional coordinates):
Rb (0.0749, 0.2500, 0.3515)
Rb (0.2854, 0.7500, 0.1165)
Rb (0.4184, 0.7500, 0.6249)
Rb (0.5816, 0.2500, 0.3751)
Rb (0.7146, 0.2500, 0.8835)
Rb (0.9251, 0.7500, 0.6485)
Au (0.2351, 0.2500, 0.8393)
Au (0.7649, 0.7500, 0.1607)
O (0.0021, 0.7500, 0.3210)
O (0.3076, 0.2500, 0.0856)
O (0.3593, 0.2500, 0.6281)
O (0.6407, 0.7500, 0.3719)
O (0.6924, 0.7500, 0.9144)
O (0.9979, 0.2500, 0.6790)

The 12 most intense peaks (15° ≤ 2θ ≤ 90°), in order of falling intensity:
two_theta, d (Å), I (rel.)
27.34, 3.262, 100
30.57, 2.924, 65
29.55, 3.023, 54
19.41, 4.573, 28
28.36, 3.147, 27
55.42, 1.658, 23
32.30, 2.772, 22
39.16, 2.300, 22
28.74, 3.107, 21
18.91, 4.692, 20
42.18, 2.142, 19
52.39, 1.747, 17



CdBi: computed X-ray diffraction stick pattern (λ = 1.5418 Å (Cu Kα)), based on a structure optimized by DFT (PBE).
Peak positions follow from Bragg's law for the DFT cell and can differ from measured ones.

Structure:
Cell lengths 3.3730, 6.0893, 6.1423 Å; angles 104.34, 104.96, 90.85 degrees
Atoms (fractional coordinates):
Cd (0.2050, 0.2879, 0.4169)
Cd (0.7950, 0.7121, 0.5831)
Bi (0.0735, 0.7784, 0.1319)
Bi (0.9265, 0.2216, 0.8681)

The 12 most intense peaks (15° ≤ 2θ ≤ 90°), in order of falling intensity:
two_theta, d (Å), I (rel.)
30.96, 2.888, 100
30.41, 2.939, 92
27.68, 3.223, 64
27.47, 3.247, 64
38.37, 2.346, 45
41.12, 2.195, 43
39.59, 2.276, 42
41.34, 2.184, 42
35.81, 2.508, 40
40.20, 2.243, 40
36.55, 2.459, 37
24.35, 3.655, 36



Ce9YO20: computed X-ray diffraction stick pattern (λ = 1.5418 Å (Cu Kα)), based on a structure optimized by DFT (PBE).
Peak positions follow from Bragg's law for the DFT cell and can differ from measured ones.

Structure:
Cell lengths 6.6881, 7.7208, 8.6315 Å; angles 102.92, 97.42, 106.78 degrees
Atoms (fractional coordinates):
Ce (0.0000, 0.0000, 0.0000)
Ce (0.1995, 0.8988, 0.3984)
Ce (0.1998, 0.4002, 0.3982)
Ce (0.3974, 0.7987, 0.8006)
Ce (0.4002, 0.3011, 0.8011)
Ce (0.5998, 0.6989, 0.1989)
Ce (0.6026, 0.2013, 0.1994)
Ce (0.8002, 0.5998, 0.6018)
Ce (0.8005, 0.1012, 0.6016)
Y (0.0000, 0.5000, 0.0000)
O (0.0504, 0.2220, 0.8481)
O (0.0496, 0.7271, 0.8486)
O (0.1487, 0.6740, 0.5492)
O (0.1498, 0.1750, 0.5485)
O (0.2524, 0.1253, 0.2494)
O (0.2529, 0.6264, 0.2519)
O (0.3512, 0.0751, 0.9505)
O (0.3526, 0.5757, 0.9490)
O (0.4484, 0.0238, 0.6496)
O (0.4486, 0.5250, 0.6493)
O (0.5514, 0.4750, 0.3507)
O (0.5516, 0.9762, 0.3504)
O (0.6474, 0.4243, 0.0510)
O (0.6488, 0.9249, 0.0495)
O (0.7471, 0.3736, 0.7481)
O (0.7476, 0.8747, 0.7506)
O (0.8502, 0.8250, 0.4515)
O (0.8513, 0.3260, 0.4508)
O (0.9504, 0.2729, 0.1514)
O (0.9496, 0.7780, 0.1519)

The 10 most intense peaks (15° ≤ 2θ ≤ 90°), in order of falling intensity:
two_theta, d (Å), I (rel.)
28.31, 3.152, 100
47.08, 1.930, 55
55.85, 1.646, 44
32.81, 2.730, 28
75.97, 1.253, 18
87.54, 1.114, 17
78.32, 1.221, 10
68.78, 1.365, 8
58.57, 1.576, 8
78.33, 1.221, 1



NaTlCd3: computed X-ray diffraction stick pattern (λ = 1.5418 Å (Cu Kα)), based on a structure optimized by DFT (PBE).
Peak positions follow from Bragg's law for the DFT cell and can differ from measured ones.

Structure:
Cell lengths 5.6435, 5.6435, 5.6435 Å; angles 62.69, 62.69, 62.69 degrees
Atoms (fractional coordinates):
Na (0.0000, 0.0000, 0.0000)
Tl (0.7526, 0.7526, 0.7526)
Cd (0.3760, 0.3760, 0.8766)
Cd (0.3760, 0.8766, 0.3760)
Cd (0.8766, 0.3760, 0.3760)

The 12 most intense peaks (15° ≤ 2θ ≤ 90°), in order of falling intensity:
two_theta, d (Å), I (rel.)
35.94, 2.499, 100
36.52, 2.461, 63
31.76, 2.817, 59
21.86, 4.065, 56
37.80, 2.380, 49
18.64, 4.760, 31
37.64, 2.390, 30
19.68, 4.512, 30
54.94, 1.671, 25
63.36, 1.468, 22
60.12, 1.539, 21
66.37, 1.409, 19